No. 1
Structure and computed PXRD pattern of SmZn9Pd3 (a crystal structure in Alexandria, relaxed with PBE; copper Kα).
Neutral-atom scattering factors, no anomalous dispersion.

Structural model:
```
SmZn9Pd3
1.0
2.662 -6.393 0.000
2.662 6.393 0.000
-2.575 0.000 6.226
Sm Zn Pd
1 9 3
direct
0.000 0.000 0.000
0.014 0.661 0.653
0.287 0.506 0.783
0.339 0.986 0.347
0.494 0.713 0.217
0.500 0.500 0.500
0.506 0.287 0.783
0.661 0.014 0.653
0.713 0.494 0.217
0.986 0.339 0.347
0.000 0.000 0.500
0.000 0.500 0.000
0.500 0.000 0.000
```

Principal peaks in the range 10 to 80 degrees two-theta, by angle:
2θ 34.4, I 20
2θ 34.7, I 27
2θ 39.2, I 50
2θ 39.6, I 53
2θ 39.8, I 50
2θ 40.4, I 100
2θ 40.8, I 19
2θ 44.3, I 30
2θ 44.9, I 19
2θ 72.5, I 20


No. 2
Structure and computed PXRD pattern of Sm2Zn16Pd (a crystal structure in Alexandria, relaxed with PBE; copper Kα).
Neutral-atom scattering factors, no anomalous dispersion.

Structural model:
```
Sm2Zn16Pd
1.0
4.509 2.603 4.405
-4.509 2.603 4.405
0.000 -5.207 4.405
Sm Zn Pd
2 16 1
direct
0.000 0.000 0.000
0.327 0.327 0.327
0.015 0.015 0.500
0.015 0.500 0.015
0.164 0.660 0.660
0.312 0.312 0.819
0.312 0.819 0.312
0.370 0.661 0.952
0.370 0.952 0.661
0.500 0.015 0.015
0.660 0.164 0.660
0.660 0.660 0.164
0.661 0.370 0.952
0.661 0.952 0.370
0.764 0.764 0.764
0.819 0.312 0.312
0.952 0.370 0.661
0.952 0.661 0.370
0.564 0.564 0.564
```

Principal peaks in the range 10 to 80 degrees two-theta, by angle:
2θ 28.3, I 26
2θ 34.5, I 45
2θ 35.6, I 32
2θ 40.0, I 71
2θ 40.2, I 100
2θ 41.0, I 52
2θ 41.2, I 26
2θ 45.2, I 34
2θ 58.6, I 24
2θ 74.1, I 25


No. 3
Structure and computed PXRD pattern of Sm5ZnPd2 (a crystal structure in Alexandria, relaxed with PBE; copper Kα).
Neutral-atom scattering factors, no anomalous dispersion.

Structural model:
```
Sm5ZnPd2
1.0
-4.006 4.006 6.589
4.006 -4.006 6.589
4.006 4.006 -6.589
Sm Zn Pd
10 2 4
direct
0.000 0.000 0.000
0.018 0.518 0.822
0.195 0.018 0.500
0.305 0.805 0.822
0.482 0.305 0.500
0.500 0.500 0.000
0.518 0.695 0.500
0.695 0.195 0.178
0.805 0.982 0.500
0.982 0.482 0.178
0.250 0.250 0.000
0.750 0.750 0.000
0.130 0.370 0.500
0.370 0.870 0.240
0.630 0.130 0.760
0.870 0.630 0.500
```

Principal peaks in the range 10 to 80 degrees two-theta, by angle:
2θ 31.4, I 12
2θ 32.2, I 100
2θ 35.3, I 23
2θ 35.4, I 50
2θ 51.4, I 12
2θ 55.4, I 10
2θ 56.1, I 12
2θ 65.9, I 10
2θ 66.3, I 15
2θ 67.9, I 10


No. 4
Structure and computed PXRD pattern of Sm3Zn2Pd (a crystal structure in Alexandria, relaxed with PBE; copper Kα).
Neutral-atom scattering factors, no anomalous dispersion.

Structural model:
```
Sm3Zn2Pd
1.0
3.653 0.000 0.000
0.000 3.653 0.000
0.000 0.000 10.663
Sm Zn Pd
3 2 1
direct
0.000 0.000 0.000
0.000 0.000 0.338
0.000 0.000 0.662
0.500 0.500 0.166
0.500 0.500 0.834
0.500 0.500 0.500
```

Principal peaks in the range 10 to 80 degrees two-theta, by angle:
2θ 24.4, I 10
2θ 25.1, I 5
2θ 34.7, I 52
2θ 35.2, I 100
2θ 49.9, I 19
2θ 51.4, I 8
2θ 62.6, I 37
2θ 63.5, I 17
2θ 73.3, I 6
2θ 74.5, I 11


No. 5
Structure and computed PXRD pattern of SnPd (a crystal structure in Alexandria, relaxed with PBE; copper Kα).
Neutral-atom scattering factors, no anomalous dispersion.

Structural model:
```
SnPd
1.0
4.753 0.000 0.000
0.000 7.757 0.000
0.000 0.000 9.006
Sn Pd
8 8
direct
0.129 0.143 0.409
0.145 0.339 0.875
0.355 0.661 0.375
0.371 0.857 0.909
0.629 0.357 0.591
0.645 0.161 0.125
0.855 0.839 0.625
0.871 0.643 0.091
0.124 0.535 0.628
0.127 0.936 0.170
0.373 0.064 0.670
0.376 0.465 0.128
0.624 0.965 0.372
0.627 0.564 0.830
0.873 0.436 0.330
0.876 0.035 0.872
```

Principal peaks in the range 10 to 80 degrees two-theta, by angle:
2θ 29.7, I 71
2θ 31.4, I 75
2θ 35.9, I 53
2θ 40.0, I 37
2θ 41.0, I 100
2θ 42.6, I 25
2θ 44.7, I 24
2θ 48.0, I 22
2θ 50.4, I 34
2θ 72.8, I 22


No. 6
Structure and computed PXRD pattern of Sn3Pd (a crystal structure in Alexandria, relaxed with PBE; copper Kα).
Neutral-atom scattering factors, no anomalous dispersion.

Structural model:
```
Sn3Pd
1.0
8.677 -3.276 0.000
8.677 3.276 0.000
0.000 0.000 6.595
Sn Pd
12 4
direct
0.001 0.663 0.168
0.160 0.840 0.839
0.163 0.501 0.668
0.337 0.999 0.168
0.340 0.660 0.339
0.499 0.837 0.668
0.501 0.163 0.332
0.660 0.340 0.661
0.663 0.001 0.832
0.837 0.499 0.332
0.840 0.160 0.161
0.999 0.337 0.832
0.086 0.086 0.500
0.414 0.414 0.000
0.586 0.586 0.000
0.914 0.914 0.500
```

Principal peaks in the range 10 to 80 degrees two-theta, by angle:
2θ 30.9, I 28
2θ 32.2, I 94
2θ 34.2, I 100
2θ 37.0, I 33
2θ 41.5, I 31
2θ 41.7, I 32
2θ 43.7, I 31
2θ 44.0, I 35
2θ 57.1, I 23
2θ 66.0, I 25